Entry 1:
Starting from a crystal structure in Alexandria, relaxed with GGA-PBE, the powder XRD pattern of K2NpTlO5 was calculated for λ = 1.5418 Å (Cu Kα).
Kinematic intensities with the Lorentz-polarization factor, no thermal factor.

Principal peaks in the range 10 to 90 degrees two-theta, by intensity:
2θ 28.7, I = 100; 2θ 14.2, I = 61; 2θ 24.8, I = 28; 2θ 40.5, I = 22; 2θ 28.0, I = 20; 2θ 38.2, I = 18; 2θ 50.0, I = 18; 2θ 31.6, I = 17; 2θ 50.8, I = 15; 2θ 59.4, I = 14

Crystal structure
a b c (Å): 4.346 6.369 12.466
angles (deg): 90.00 90.00 90.00
Space group Immm (No. 71)
Symmetry-distinct sites (fractional):
K (0.000, 0.000, 0.227)
Np (0.000, 0.500, 0.500)
Tl (0.000, 0.500, 0.000)
O (0.000, 0.000, 0.000)
O (0.000, 0.285, 0.387)

Entry 2:
Starting from a crystal structure in Alexandria, relaxed with GGA-PBE, the powder XRD pattern of ThURu3 was calculated for λ = 1.5418 Å (Cu Kα).
Kinematic intensities with the Lorentz-polarization factor, no thermal factor.

Principal peaks in the range 10 to 90 degrees two-theta, by intensity:
2θ 29.5, I = 100; 2θ 41.9, I = 69; 2θ 36.6, I = 69; 2θ 41.6, I = 24; 2θ 61.5, I = 23; 2θ 47.3, I = 22; 2θ 52.9, I = 21; 2θ 30.0, I = 17; 2θ 61.2, I = 16; 2θ 43.7, I = 16

Crystal structure
a b c (Å): 5.963 7.686 8.688
angles (deg): 90.00 90.00 90.00
Space group Imma (No. 74)
Symmetry-distinct sites (fractional):
Th (0.000, 0.250, 0.017)
U (0.000, 0.000, 0.500)
Ru (0.000, 0.250, 0.683)
Ru (0.250, 0.050, 0.250)

Entry 3:
Starting from a crystal structure in Alexandria, relaxed with GGA-PBE, the powder XRD pattern of BaPm2GeN4 was calculated for λ = 1.5418 Å (Cu Kα).
Kinematic intensities with the Lorentz-polarization factor, no thermal factor.

Principal peaks in the range 10 to 90 degrees two-theta, by intensity:
2θ 30.0, I = 100; 2θ 36.3, I = 62; 2θ 29.4, I = 60; 2θ 26.2, I = 50; 2θ 33.9, I = 46; 2θ 28.4, I = 41; 2θ 50.5, I = 29; 2θ 45.8, I = 23; 2θ 49.8, I = 20; 2θ 51.4, I = 19

Crystal structure
a b c (Å): 3.553 12.566 12.148
angles (deg): 90.00 90.00 90.00
Space group Cmcm (No. 63)
Symmetry-distinct sites (fractional):
Ba (0.000, 0.089, 0.250)
Pm (0.000, 0.369, 0.040)
Ge (0.000, 0.183, 0.750)
N (0.000, 0.000, 0.000)
N (0.000, 0.260, 0.621)
N (0.000, 0.404, 0.250)

Entry 4:
Starting from a crystal structure in Alexandria, relaxed with GGA-PBE, the powder XRD pattern of Ac3Y2Ho was calculated for λ = 1.5418 Å (Cu Kα).
Kinematic intensities with the Lorentz-polarization factor, no thermal factor.

Principal peaks in the range 10 to 90 degrees two-theta, by intensity:
2θ 28.9, I = 100; 2θ 33.5, I = 51; 2θ 48.1, I = 38; 2θ 57.1, I = 23; 2θ 57.1, I = 23; 2θ 77.8, I = 15; 2θ 18.5, I = 13; 2θ 59.9, I = 13; 2θ 80.3, I = 9; 2θ 89.7, I = 7

Crystal structure
a b c (Å): 10.714 7.556 12.547
angles (deg): 90.00 115.24 90.00
Space group C2/c (No. 15)
Symmetry-distinct sites (fractional):
Ac (0.000, 0.127, 0.250)
Ac (0.167, 0.376, 0.083)
Y (0.167, 0.124, 0.584)
Ho (0.000, 0.373, 0.750)

Entry 5:
Starting from a crystal structure in Alexandria, relaxed with GGA-PBE, the powder XRD pattern of Cs12TeAu6 was calculated for λ = 1.5418 Å (Cu Kα).
Kinematic intensities with the Lorentz-polarization factor, no thermal factor.

Principal peaks in the range 10 to 90 degrees two-theta, by intensity:
2θ 26.4, I = 100; 2θ 36.3, I = 44; 2θ 14.0, I = 27; 2θ 30.0, I = 20; 2θ 24.4, I = 19; 2θ 41.7, I = 18; 2θ 43.0, I = 16; 2θ 51.1, I = 15; 2θ 63.3, I = 15; 2θ 57.5, I = 14

Crystal structure
a b c (Å): 12.630 12.630 12.630
angles (deg): 90.00 90.00 90.00
Space group Im-3 (No. 204)
Symmetry-distinct sites (fractional):
Cs (0.000, 0.176, 0.301)
Te (0.000, 0.000, 0.000)
Au (0.000, 0.384, 0.500)

Entry 6:
Starting from a crystal structure in Alexandria, relaxed with GGA-PBE, the powder XRD pattern of MgPd5Au was calculated for λ = 1.5418 Å (Cu Kα).
Kinematic intensities with the Lorentz-polarization factor, no thermal factor.

Principal peaks in the range 10 to 90 degrees two-theta, by intensity:
2θ 40.0, I = 100; 2θ 11.5, I = 44; 2θ 46.1, I = 34; 2θ 34.3, I = 30; 2θ 81.2, I = 25; 2θ 68.3, I = 18; 2θ 47.4, I = 14; 2θ 35.1, I = 12; 2θ 67.2, I = 11; 2θ 59.2, I = 11

Crystal structure
a b c (Å): 3.938 3.938 7.674
angles (deg): 90.00 90.00 90.00
Space group P4/mmm (No. 123)
Symmetry-distinct sites (fractional):
Mg (0.000, 0.000, 0.000)
Pd (0.000, 0.000, 0.500)
Pd (0.000, 0.500, 0.231)
Au (0.500, 0.500, 0.500)